For LiP2WO8, a cell relaxed with GGA+U gives the calculated PXRD pattern in this record (λ = 1.5418 Å (Cu Kα)).
Peak positions follow from Bragg's law for the DFT cell and can differ from measured ones.

Principal peaks in the range 5° ≤ 2θ ≤ 70°, by intensity:
(0 1 2), 2θ = 15.3°, I = 100; (0 0 2), 2θ = 11.6°, I = 78; (1 2 -1), 2θ = 27.1°, I = 57; (0 1 3), 2θ = 20.1°, I = 56; (1 1 -3), 2θ = 24.7°, I = 39; (1 1 1), 2θ = 22.6°, I = 37; (1 0 4), 2θ = 32.6°, I = 35; (1 0 -2), 2θ = 19.5°, I = 33

Lattice parameters (Å, degrees): 4.9777 8.8333 15.6050 90.00 101.62 90.00
Element x y z (fractional)
Li (0.0417, 0.2135, 0.3688)
Li (0.0417, 0.2865, 0.8688)
Li (0.9583, 0.7135, 0.1312)
Li (0.9583, 0.7865, 0.6312)
P (0.3024, 0.1921, 0.5676)
P (0.3024, 0.3079, 0.0676)
P (0.3671, 0.5578, 0.7760)
P (0.3671, 0.9422, 0.2760)
P (0.6329, 0.0578, 0.7240)
P (0.6329, 0.4422, 0.2240)
P (0.6976, 0.6921, 0.9324)
P (0.6976, 0.8079, 0.4324)
W (0.1640, 0.5993, 0.3410)
W (0.1640, 0.9007, 0.8410)
W (0.8360, 0.0993, 0.1590)
W (0.8360, 0.4007, 0.6590)
O (0.0776, 0.0662, 0.8919)
O (0.0776, 0.4338, 0.3919)
O (0.1057, 0.2465, 0.1242)
O (0.1057, 0.2535, 0.6242)
O (0.1333, 0.0590, 0.2756)
O (0.1333, 0.4410, 0.7756)
O (0.1780, 0.1330, 0.4801)
O (0.1780, 0.3670, 0.9801)
O (0.2539, 0.7197, 0.7575)
O (0.2539, 0.7803, 0.2575)
O (0.4528, 0.0497, 0.6272)
O (0.4528, 0.4503, 0.1272)
O (0.4563, 0.0156, 0.7890)
O (0.4563, 0.4844, 0.2890)
O (0.4622, 0.6927, 0.4324)
O (0.4622, 0.8073, 0.9324)
O (0.5378, 0.1927, 0.0676)
O (0.5378, 0.3073, 0.5676)
O (0.5437, 0.5156, 0.7110)
O (0.5437, 0.9844, 0.2110)
O (0.5472, 0.5497, 0.8728)
O (0.5472, 0.9503, 0.3728)
O (0.7461, 0.2197, 0.7425)
O (0.7461, 0.2803, 0.2425)
O (0.8220, 0.6330, 0.0199)
O (0.8220, 0.8670, 0.5199)
O (0.8667, 0.5590, 0.2244)
O (0.8667, 0.9410, 0.7244)
O (0.8943, 0.7465, 0.3758)
O (0.8943, 0.7535, 0.8758)
O (0.9224, 0.5662, 0.6081)
O (0.9224, 0.9338, 0.1081)